# Li7Mn5O12
Computed powder diffraction line list, Cu Kα (λ = 1.5418 Å). Input: a crystal structure in the Materials Project, relaxed with PBE+U.
Neutral-atom scattering factors, no anomalous dispersion.

Peak list (10 most intense, 2θ from 5° to 70°, in order of falling intensity)
2θ (°)  d_spacing  I (rel.)  h k l
18.32  4.843  100  0 1 1
40.62  2.221  35  2 0 2
44.36  2.042  28  2 0 -4
44.47  2.037  28  0 4 -2
33.89  2.645  16  2 -1 1
36.41  2.467  13  0 3 -3
36.27  2.477  12  2 1 -3
58.55  1.576  9  -2 1 5
61.74  1.502  8  2 -4 4
61.44  1.509  8  4 0 -2

Cell and atoms:
```
data_Li7Mn5O12
_chemical_formula_sum 'Li14 Mn10 O24'
_symmetry_space_group_name_H-M 'P -1'
_symmetry_Int_Tables_number 2
_cell_length_a 6.0583
_cell_length_b 8.1490
_cell_length_c 10.0912
_cell_angle_alpha 113.30
_cell_angle_beta 102.82
_cell_angle_gamma 90.49
loop_
_symmetry_equiv_pos_as_xyz
'x,y,z'
'-x,-y,-z'
loop_
_atom_site_label
_atom_site_fract_x
_atom_site_fract_y
_atom_site_fract_z
_atom_site_occupancy
Li1 0.0000 0.0000 0.0000 1
Li2 0.0000 0.0000 0.5000 1
Li3 0.0000 0.5000 0.0000 1
Li4 0.1544 0.6767 0.8337 1
Li5 0.1925 0.1728 0.3355 1
Li6 0.2993 0.3217 0.1527 1
Li7 0.3378 0.8271 0.6697 1
Li8 0.5000 0.0000 0.5000 1
Li9 0.5000 0.5000 0.0000 1
Li10 0.5000 0.5000 0.5000 1
Mn1 0.0000 0.5000 0.5000 1
Mn2 0.1633 0.1628 0.8348 1
Mn3 0.1805 0.6679 0.3383 1
Mn4 0.3242 0.8335 0.1608 1
Mn5 0.3274 0.3341 0.6635 1
Mn6 0.5000 0.0000 0.0000 1
O1 0.0099 0.2467 0.9909 1
O2 0.0233 0.7375 0.4997 1
O3 0.1298 0.3941 0.8063 1
O4 0.1604 0.4315 0.3407 1
O5 0.1827 0.9057 0.3310 1
O6 0.2078 0.9359 0.8529 1
O7 0.2910 0.5595 0.6463 1
O8 0.3198 0.0998 0.6725 1
O9 0.3282 0.5943 0.1740 1
O10 0.3464 0.0732 0.1628 1
O11 0.4762 0.7381 0.4769 1
O12 0.4832 0.7595 0.0002 1
```



# La7SmV8O24
Computed powder diffraction line list, Cu Kα (λ = 1.5418 Å). Input: a crystal structure in the Materials Project, relaxed with PBE+U.
Neutral-atom scattering factors, no anomalous dispersion.

Peak list (7 most intense, 2θ from 5° to 70°, in order of falling intensity)
2θ (°)  d_spacing  I (rel.)  h k l
32.03  2.795  100  2 2 0
57.09  1.613  38  4 2 2
45.93  1.976  34  4 0 0
39.49  2.282  24  2 2 2
66.97  1.397  20  4 4 0
22.50  3.952  19  2 0 0
51.72  1.767  10  4 2 0

Cell and atoms:
```
data_La7SmV8O24
_chemical_formula_sum 'La7 Sm1 V8 O24'
_symmetry_space_group_name_H-M 'P m -3 m'
_symmetry_Int_Tables_number 221
_symmetry_space_group_name_Hall '-P 4 2 3'
_cell_length_a 7.9042
_cell_length_b 7.9042
_cell_length_c 7.9042
_cell_angle_alpha 90.00
_cell_angle_beta 90.00
_cell_angle_gamma 90.00
loop_
_atom_site_label
_atom_site_fract_x
_atom_site_fract_y
_atom_site_fract_z
_atom_site_occupancy
La1 0.0000 0.0000 0.0000 1
La2 0.0000 0.0000 0.5000 1
La3 0.0000 0.5000 0.5000 1
Sm1 0.5000 0.5000 0.5000 1
V1 0.2501 0.2501 0.2501 1
O1 0.0000 0.2500 0.2500 1
O2 0.2507 0.2507 0.5000 1
```



# MoP4O12
Computed powder diffraction line list, Cu Kα (λ = 1.5418 Å). Input: a crystal structure in the Materials Project, relaxed with PBE+U.
Neutral-atom scattering factors, no anomalous dispersion.

Peak list (10 most intense, 2θ from 5° to 70°, in order of falling intensity)
2θ (°)  d_spacing  I (rel.)  h k l
20.19  4.399  100  1 1 -2
29.19  3.059  97  0 2 2
27.93  3.194  60  3 1 0
17.10  5.184  54  2 0 0
13.60  6.510  54  1 1 0
25.65  3.473  50  3 1 -2
36.98  2.431  32  4 2 -2
34.62  2.591  29  4 0 0
27.40  3.255  24  2 2 0
42.12  2.145  21  1 3 -3

Cell and atoms:
```
data_MoP4O12
_chemical_formula_sum 'Mo4 P16 O48'
_symmetry_space_group_name_H-M 'C 1 2/c 1'
_symmetry_Int_Tables_number 15
_cell_length_a 11.9890
_cell_length_b 8.3644
_cell_length_c 10.3770
_cell_angle_alpha 90.00
_cell_angle_beta 120.14
_cell_angle_gamma 90.00
loop_
_symmetry_equiv_pos_as_xyz
'x,y,z'
'-x,-y,-z'
'-x,y,-z+1/2'
'x,-y,z+1/2'
'x+1/2,y+1/2,z'
'-x+1/2,-y+1/2,-z'
'-x+1/2,y+1/2,-z+1/2'
'x+1/2,-y+1/2,z+1/2'
loop_
_atom_site_label
_atom_site_fract_x
_atom_site_fract_y
_atom_site_fract_z
_atom_site_occupancy
Mo1 0.0000 0.0553 0.2500 1
P1 0.0097 0.2623 0.9801 1
P2 0.2008 0.4869 0.1979 1
O1 0.0319 0.2298 0.4072 1
O2 0.0330 0.1219 0.9059 1
O3 0.0895 0.3777 0.6467 1
O4 0.1409 0.3629 0.0576 1
O5 0.1882 0.0645 0.3127 1
O6 0.2274 0.4189 0.3402 1
```



# Na3MnBSO7
Computed powder diffraction line list, Cu Kα (λ = 1.5418 Å). Input: a crystal structure in the Materials Project, relaxed with PBE+U.
Neutral-atom scattering factors, no anomalous dispersion.

Peak list (10 most intense, 2θ from 5° to 70°, in order of falling intensity)
2θ (°)  d_spacing  I (rel.)  h k l
25.62  3.477  100  0 2 0
32.37  2.765  57  0 2 2
33.70  2.660  47  2 0 0
9.70  9.120  41  0 0 1
32.24  2.776  38  1 2 -1
52.67  1.738  31  0 4 0
16.03  5.528  22  0 1 1
19.23  4.615  18  1 0 -1
28.93  3.087  17  1 1 2
25.86  3.445  16  1 0 2

Cell and atoms:
```
data_Na3MnBSO7
_chemical_formula_sum 'Na6 Mn2 B2 S2 O14'
_symmetry_space_group_name_H-M 'P 1 21/m 1'
_symmetry_Int_Tables_number 11
_cell_length_a 5.3201
_cell_length_b 6.9503
_cell_length_c 9.1202
_cell_angle_alpha 90.00
_cell_angle_beta 90.58
_cell_angle_gamma 90.00
loop_
_symmetry_equiv_pos_as_xyz
'x,y,z'
'-x,-y,-z'
'-x,y+1/2,-z'
'x,-y+1/2,z'
loop_
_atom_site_label
_atom_site_fract_x
_atom_site_fract_y
_atom_site_fract_z
_atom_site_occupancy
Na1 0.2440 0.0094 0.2682 1
Na2 0.2544 0.2500 0.5629 1
Mn1 0.2345 0.7500 0.8389 1
B1 0.2640 0.7500 0.5630 1
S1 0.2915 0.2500 0.9186 1
O1 0.0315 0.7500 0.6348 1
O2 0.1625 0.2500 0.0633 1
O3 0.2194 0.0771 0.8308 1
O4 0.2865 0.7500 0.4140 1
O5 0.4291 0.7500 0.0551 1
O6 0.4757 0.7500 0.6575 1
```



Please write out number 1 again, unchanged.
# Li7Mn5O12
Computed powder diffraction line list, Cu Kα (λ = 1.5418 Å). Input: a crystal structure in the Materials Project, relaxed with PBE+U.
Neutral-atom scattering factors, no anomalous dispersion.

Peak list (10 most intense, 2θ from 5° to 70°, in order of falling intensity)
2θ (°)  d_spacing  I (rel.)  h k l
18.32  4.843  100  0 1 1
40.62  2.221  35  2 0 2
44.36  2.042  28  2 0 -4
44.47  2.037  28  0 4 -2
33.89  2.645  16  2 -1 1
36.41  2.467  13  0 3 -3
36.27  2.477  12  2 1 -3
58.55  1.576  9  -2 1 5
61.74  1.502  8  2 -4 4
61.44  1.509  8  4 0 -2

Cell and atoms:
```
data_Li7Mn5O12
_chemical_formula_sum 'Li14 Mn10 O24'
_symmetry_space_group_name_H-M 'P -1'
_symmetry_Int_Tables_number 2
_cell_length_a 6.0583
_cell_length_b 8.1490
_cell_length_c 10.0912
_cell_angle_alpha 113.30
_cell_angle_beta 102.82
_cell_angle_gamma 90.49
loop_
_symmetry_equiv_pos_as_xyz
'x,y,z'
'-x,-y,-z'
loop_
_atom_site_label
_atom_site_fract_x
_atom_site_fract_y
_atom_site_fract_z
_atom_site_occupancy
Li1 0.0000 0.0000 0.0000 1
Li2 0.0000 0.0000 0.5000 1
Li3 0.0000 0.5000 0.0000 1
Li4 0.1544 0.6767 0.8337 1
Li5 0.1925 0.1728 0.3355 1
Li6 0.2993 0.3217 0.1527 1
Li7 0.3378 0.8271 0.6697 1
Li8 0.5000 0.0000 0.5000 1
Li9 0.5000 0.5000 0.0000 1
Li10 0.5000 0.5000 0.5000 1
Mn1 0.0000 0.5000 0.5000 1
Mn2 0.1633 0.1628 0.8348 1
Mn3 0.1805 0.6679 0.3383 1
Mn4 0.3242 0.8335 0.1608 1
Mn5 0.3274 0.3341 0.6635 1
Mn6 0.5000 0.0000 0.0000 1
O1 0.0099 0.2467 0.9909 1
O2 0.0233 0.7375 0.4997 1
O3 0.1298 0.3941 0.8063 1
O4 0.1604 0.4315 0.3407 1
O5 0.1827 0.9057 0.3310 1
O6 0.2078 0.9359 0.8529 1
O7 0.2910 0.5595 0.6463 1
O8 0.3198 0.0998 0.6725 1
O9 0.3282 0.5943 0.1740 1
O10 0.3464 0.0732 0.1628 1
O11 0.4762 0.7381 0.4769 1
O12 0.4832 0.7595 0.0002 1
```



- Number 1 is which compound?
  Li7Mn5O12